Record 1
# PuMgB14
Computed powder XRD pattern, copper Kα. Input: DFT lattice parameters and positions (GGA-PBE).
Lines closer than 0.1° are merged.

Largest 12 diffraction maxima, by intensity, 5 to 70 degrees two-theta:
| Position (°2θ) | I_rel |
| --- | --- |
| 13.47 | 100 |
| 27.51 | 91 |
| 16.50 | 71 |
| 24.81 | 64 |
| 36.43 | 57 |
| 33.20 | 45 |
| 39.64 | 39 |
| 18.40 | 39 |
| 41.03 | 35 |
| 34.61 | 31 |
| 27.11 | 29 |
| 33.37 | 26 |

Structure:
```
data_PuMgB14
_chemical_formula_sum 'Pu2 Mg2 B28'
_cell_length_a 7.409
_cell_length_b 7.409
_cell_length_c 7.409
_cell_angle_alpha 132.93
_cell_angle_beta 87.03
_cell_angle_gamma 111.76
_space_group_name_H-M_alt 'P 1'
_space_group_IT_number 1
loop_
_space_group_symop_operation_xyz
'x,y,z'
loop_
_atom_site_label
_atom_site_type_symbol
_atom_site_fract_x
_atom_site_fract_y
_atom_site_fract_z
Pu1 Pu 0.387 0.137 0.250
Pu2 Pu 0.613 0.863 0.750
Mg1 Mg 0.000 0.000 0.500
Mg2 Mg 0.000 0.500 0.000
B1 B 0.006 0.874 0.132
B2 B 0.030 0.206 0.329
B3 B 0.030 0.702 0.824
B4 B 0.088 0.671 0.417
B5 B 0.194 0.528 0.666
B6 B 0.221 0.501 0.401
B7 B 0.221 0.819 0.719
B8 B 0.241 0.874 0.368
B9 B 0.247 0.329 0.917
B10 B 0.362 0.528 0.834
B11 B 0.378 0.206 0.676
B12 B 0.378 0.702 0.171
B13 B 0.400 0.181 0.901
B14 B 0.400 0.499 0.219
B15 B 0.600 0.501 0.781
B16 B 0.600 0.819 0.099
B17 B 0.622 0.298 0.829
B18 B 0.622 0.794 0.324
B19 B 0.638 0.472 0.166
B20 B 0.753 0.671 0.083
B21 B 0.759 0.126 0.632
B22 B 0.779 0.181 0.281
B23 B 0.779 0.499 0.599
B24 B 0.806 0.472 0.334
B25 B 0.912 0.329 0.583
B26 B 0.970 0.298 0.176
B27 B 0.970 0.794 0.671
B28 B 0.994 0.126 0.868
```



Record 2
# RbMg14B
Computed powder XRD pattern, copper Kα. Input: DFT lattice parameters and positions (GGA-PBE).
Lines closer than 0.1° are merged.

Largest 12 diffraction maxima, by intensity, 5 to 70 degrees two-theta:
| Position (°2θ) | I_rel |
| --- | --- |
| 36.93 | 100 |
| 34.53 | 80 |
| 35.45 | 43 |
| 32.25 | 39 |
| 18.22 | 24 |
| 48.68 | 23 |
| 23.78 | 20 |
| 66.39 | 20 |
| 54.13 | 20 |
| 27.76 | 18 |
| 64.62 | 17 |
| 15.97 | 15 |

Structure:
```
data_RbMg14B
_chemical_formula_sum 'Rb1 Mg14 B1'
_cell_length_a 10.128
_cell_length_b 6.809
_cell_length_c 6.809
_cell_angle_alpha 54.61
_cell_angle_beta 90.00
_cell_angle_gamma 90.00
_space_group_name_H-M_alt 'P 1'
_space_group_IT_number 1
loop_
_space_group_symop_operation_xyz
'x,y,z'
loop_
_atom_site_label
_atom_site_type_symbol
_atom_site_fract_x
_atom_site_fract_y
_atom_site_fract_z
Rb1 Rb 0.000 0.000 0.000
Mg1 Mg 0.000 0.497 0.986
Mg2 Mg 0.000 0.986 0.497
Mg3 Mg 0.239 0.636 0.636
Mg4 Mg 0.246 0.152 0.622
Mg5 Mg 0.246 0.622 0.152
Mg6 Mg 0.273 0.148 0.148
Mg7 Mg 0.500 0.485 0.485
Mg8 Mg 0.500 0.494 0.983
Mg9 Mg 0.500 0.975 0.975
Mg10 Mg 0.500 0.983 0.494
Mg11 Mg 0.727 0.148 0.148
Mg12 Mg 0.754 0.152 0.622
Mg13 Mg 0.754 0.622 0.152
Mg14 Mg 0.761 0.636 0.636
B1 B 0.000 0.383 0.383
```



Record 3
# RbMgBS3
Computed powder XRD pattern, copper Kα. Input: DFT lattice parameters and positions (GGA-PBE).
Lines closer than 0.1° are merged.

Largest 12 diffraction maxima, by intensity, 5 to 70 degrees two-theta:
| Position (°2θ) | I_rel |
| --- | --- |
| 32.31 | 100 |
| 37.39 | 57 |
| 21.31 | 43 |
| 29.88 | 31 |
| 17.61 | 30 |
| 29.18 | 27 |
| 57.57 | 27 |
| 43.40 | 27 |
| 31.03 | 25 |
| 27.35 | 20 |
| 55.66 | 16 |
| 69.63 | 16 |

Structure:
```
data_RbMgBS3
_chemical_formula_sum 'Rb2 Mg2 B2 S6'
_cell_length_a 7.641
_cell_length_b 7.641
_cell_length_c 10.074
_cell_angle_alpha 90.00
_cell_angle_beta 90.00
_cell_angle_gamma 153.19
_space_group_name_H-M_alt 'P 1'
_space_group_IT_number 1
loop_
_space_group_symop_operation_xyz
'x,y,z'
loop_
_atom_site_label
_atom_site_type_symbol
_atom_site_fract_x
_atom_site_fract_y
_atom_site_fract_z
Rb1 Rb 0.236 0.764 0.750
Rb2 Rb 0.764 0.236 0.250
Mg1 Mg 0.500 0.500 0.000
Mg2 Mg 0.500 0.500 0.500
B1 B 0.045 0.955 0.250
B2 B 0.955 0.045 0.750
S1 S 0.108 0.892 0.089
S2 S 0.108 0.892 0.411
S3 S 0.458 0.542 0.250
S4 S 0.542 0.458 0.750
S5 S 0.892 0.108 0.589
S6 S 0.892 0.108 0.911
```



Record 4
# MgReB
Computed powder XRD pattern, copper Kα. Input: DFT lattice parameters and positions (GGA-PBE).
Lines closer than 0.1° are merged.

Largest 12 diffraction maxima, by intensity, 5 to 70 degrees two-theta:
| Position (°2θ) | I_rel |
| --- | --- |
| 39.96 | 100 |
| 24.94 | 80 |
| 23.40 | 71 |
| 42.07 | 41 |
| 53.00 | 33 |
| 38.81 | 30 |
| 45.81 | 30 |
| 50.41 | 18 |
| 65.39 | 14 |
| 47.85 | 13 |
| 32.04 | 12 |
| 63.23 | 10 |

Structure:
```
data_MgReB
_chemical_formula_sum 'Mg2 Re2 B2'
_cell_length_a 5.604
_cell_length_b 4.726
_cell_length_c 4.454
_cell_angle_alpha 75.18
_cell_angle_beta 54.61
_cell_angle_gamma 50.21
_space_group_name_H-M_alt 'P 1'
_space_group_IT_number 1
loop_
_space_group_symop_operation_xyz
'x,y,z'
loop_
_atom_site_label
_atom_site_type_symbol
_atom_site_fract_x
_atom_site_fract_y
_atom_site_fract_z
Mg1 Mg 0.168 0.832 0.168
Mg2 Mg 0.832 0.168 0.832
Re1 Re 0.347 0.347 0.653
Re2 Re 0.653 0.653 0.347
B1 B 0.250 0.250 0.250
B2 B 0.750 0.750 0.750
```



Record 5
# Mg2ReB10
Computed powder XRD pattern, copper Kα. Input: DFT lattice parameters and positions (GGA-PBE).
Lines closer than 0.1° are merged.

Largest 12 diffraction maxima, by intensity, 5 to 70 degrees two-theta:
| Position (°2θ) | I_rel |
| --- | --- |
| 27.89 | 100 |
| 17.40 | 99 |
| 15.29 | 57 |
| 26.57 | 41 |
| 35.58 | 33 |
| 21.60 | 32 |
| 37.98 | 32 |
| 38.54 | 31 |
| 41.69 | 21 |
| 35.22 | 21 |
| 44.70 | 21 |
| 53.94 | 18 |

Structure:
```
data_Mg2ReB10
_chemical_formula_sum 'Mg4 Re2 B20'
_cell_length_a 5.675
_cell_length_b 11.592
_cell_length_c 4.115
_cell_angle_alpha 90.00
_cell_angle_beta 90.00
_cell_angle_gamma 90.00
_space_group_name_H-M_alt 'P 1'
_space_group_IT_number 1
loop_
_space_group_symop_operation_xyz
'x,y,z'
loop_
_atom_site_label
_atom_site_type_symbol
_atom_site_fract_x
_atom_site_fract_y
_atom_site_fract_z
Mg1 Mg 0.233 0.141 0.000
Mg2 Mg 0.267 0.641 0.000
Mg3 Mg 0.733 0.359 0.000
Mg4 Mg 0.767 0.859 0.000
Re1 Re 0.000 0.500 0.500
Re2 Re 0.500 0.000 0.500
B1 B 0.060 0.307 0.500
B2 B 0.113 0.955 0.500
B3 B 0.129 0.802 0.500
B4 B 0.228 0.377 0.198
B5 B 0.228 0.377 0.802
B6 B 0.272 0.877 0.198
B7 B 0.272 0.877 0.802
B8 B 0.371 0.302 0.500
B9 B 0.387 0.455 0.500
B10 B 0.440 0.807 0.500
B11 B 0.560 0.193 0.500
B12 B 0.613 0.545 0.500
B13 B 0.629 0.698 0.500
B14 B 0.728 0.123 0.198
B15 B 0.728 0.123 0.802
B16 B 0.772 0.623 0.198
B17 B 0.772 0.623 0.802
B18 B 0.871 0.198 0.500
B19 B 0.887 0.045 0.500
B20 B 0.940 0.693 0.500
```



Record 6
# MgReB6
Computed powder XRD pattern, copper Kα. Input: DFT lattice parameters and positions (GGA-PBE).
Lines closer than 0.1° are merged.

Largest 12 diffraction maxima, by intensity, 5 to 70 degrees two-theta:
| Position (°2θ) | I_rel |
| --- | --- |
| 16.21 | 100 |
| 20.29 | 74 |
| 33.18 | 56 |
| 26.65 | 50 |
| 40.36 | 44 |
| 32.94 | 42 |
| 25.48 | 39 |
| 44.16 | 38 |
| 32.75 | 36 |
| 53.56 | 29 |
| 41.24 | 22 |
| 51.36 | 20 |

Structure:
```
data_MgReB6
_chemical_formula_sum 'Mg1 Re1 B6'
_cell_length_a 4.624
_cell_length_b 4.624
_cell_length_c 6.856
_cell_angle_alpha 124.86
_cell_angle_beta 124.86
_cell_angle_gamma 37.22
_space_group_name_H-M_alt 'P 1'
_space_group_IT_number 1
loop_
_space_group_symop_operation_xyz
'x,y,z'
loop_
_atom_site_label
_atom_site_type_symbol
_atom_site_fract_x
_atom_site_fract_y
_atom_site_fract_z
Mg1 Mg 0.000 0.000 0.000
Re1 Re 0.500 0.500 0.500
B1 B 0.229 0.229 0.793
B2 B 0.259 0.259 0.575
B3 B 0.313 0.313 0.092
B4 B 0.687 0.687 0.908
B5 B 0.741 0.741 0.425
B6 B 0.771 0.771 0.207
```



Record 7
# MgB4Rh4
Computed powder XRD pattern, copper Kα. Input: DFT lattice parameters and positions (GGA-PBE).
Lines closer than 0.1° are merged.

Largest 12 diffraction maxima, by intensity, 5 to 70 degrees two-theta:
| Position (°2θ) | I_rel |
| --- | --- |
| 35.84 | 100 |
| 30.00 | 44 |
| 20.72 | 42 |
| 45.59 | 38 |
| 41.37 | 36 |
| 48.12 | 34 |
| 39.73 | 34 |
| 54.25 | 20 |
| 57.75 | 10 |
| 24.83 | 10 |
| 65.29 | 9 |
| 50.93 | 9 |

Structure:
```
data_MgB4Rh4
_chemical_formula_sum 'Mg2 B8 Rh8'
_cell_length_a 5.348
_cell_length_b 5.348
_cell_length_c 7.172
_cell_angle_alpha 90.00
_cell_angle_beta 90.00
_cell_angle_gamma 90.00
_space_group_name_H-M_alt 'P 1'
_space_group_IT_number 1
loop_
_space_group_symop_operation_xyz
'x,y,z'
loop_
_atom_site_label
_atom_site_type_symbol
_atom_site_fract_x
_atom_site_fract_y
_atom_site_fract_z
Mg1 Mg 0.250 0.750 0.250
Mg2 Mg 0.750 0.250 0.750
B1 B 0.078 0.250 0.107
B2 B 0.250 0.078 0.607
B3 B 0.250 0.422 0.607
B4 B 0.422 0.250 0.107
B5 B 0.578 0.750 0.893
B6 B 0.750 0.578 0.393
B7 B 0.750 0.922 0.393
B8 B 0.922 0.750 0.893
Rh1 Rh 0.003 0.750 0.598
Rh2 Rh 0.250 0.503 0.902
Rh3 Rh 0.250 0.997 0.902
Rh4 Rh 0.497 0.750 0.598
Rh5 Rh 0.503 0.250 0.402
Rh6 Rh 0.750 0.003 0.098
Rh7 Rh 0.750 0.497 0.098
Rh8 Rh 0.997 0.250 0.402
```



Record 8
# MgB6Rh12
Computed powder XRD pattern, copper Kα. Input: DFT lattice parameters and positions (GGA-PBE).
Lines closer than 0.1° are merged.

Largest 12 diffraction maxima, by intensity, 5 to 70 degrees two-theta:
| Position (°2θ) | I_rel |
| --- | --- |
| 38.23 | 100 |
| 45.93 | 63 |
| 14.94 | 38 |
| 46.88 | 31 |
| 30.17 | 30 |
| 35.01 | 17 |
| 56.77 | 15 |
| 53.65 | 15 |
| 46.74 | 10 |
| 43.19 | 9 |
| 17.30 | 8 |
| 24.49 | 5 |

Structure:
```
data_MgB6Rh12
_chemical_formula_sum 'Mg1 B6 Rh12'
_cell_length_a 6.487
_cell_length_b 6.487
_cell_length_c 6.487
_cell_angle_alpha 104.39
_cell_angle_beta 104.39
_cell_angle_gamma 104.39
_space_group_name_H-M_alt 'P 1'
_space_group_IT_number 1
loop_
_space_group_symop_operation_xyz
'x,y,z'
loop_
_atom_site_label
_atom_site_type_symbol
_atom_site_fract_x
_atom_site_fract_y
_atom_site_fract_z
Mg1 Mg 0.000 0.000 0.000
B1 B 0.239 0.239 0.677
B2 B 0.239 0.677 0.239
B3 B 0.323 0.761 0.761
B4 B 0.677 0.239 0.239
B5 B 0.761 0.323 0.761
B6 B 0.761 0.761 0.323
Rh1 Rh 0.133 0.500 0.867
Rh2 Rh 0.133 0.867 0.500
Rh3 Rh 0.184 0.448 0.448
Rh4 Rh 0.448 0.184 0.448
Rh5 Rh 0.448 0.448 0.184
Rh6 Rh 0.500 0.133 0.867
Rh7 Rh 0.500 0.867 0.133
Rh8 Rh 0.552 0.552 0.816
Rh9 Rh 0.552 0.816 0.552
Rh10 Rh 0.816 0.552 0.552
Rh11 Rh 0.867 0.133 0.500
Rh12 Rh 0.867 0.500 0.133
```